1.
Structure and theoretical powder X-ray diffraction pattern of Pr2Cu3Ge3 (a DFT-relaxed cell (PBE, Alexandria); copper Kα).

Most intense lines, 2θ from 10° to 80°, in order of falling intensity:
2θ = 33.76°, intensity 100; 2θ = 33.18°, intensity 49; 2θ = 42.85°, intensity 28; 2θ = 43.13°, intensity 28; 2θ = 46.46°, intensity 27; 2θ = 55.24°, intensity 22; 2θ = 30.46°, intensity 22; 2θ = 65.25°, intensity 19; 2θ = 62.42°, intensity 18; 2θ = 72.71°, intensity 15; 2θ = 37.27°, intensity 15; 2θ = 73.08°, intensity 10

Cell and atoms:
a = 4.2207 Å, b = 4.1951 Å, c = 17.6406 Å
α = 90.00°, β = 90.00°, γ = 90.00°
Space group Amm2 (No. 38)
Asymmetric unit:
Pr (0.0000, 0.0000, 0.0000) (multiplicity 2)
Pr (0.5000, 0.0000, 0.2071) (multiplicity 2)
Cu (0.0000, 0.0000, 0.3607) (multiplicity 2)
Cu (0.0000, 0.0000, 0.7785) (multiplicity 2)
Cu (0.5000, 0.0000, 0.5758) (multiplicity 2)
Ge (0.0000, 0.0000, 0.6402) (multiplicity 2)
Ge (0.5000, 0.0000, 0.4408) (multiplicity 2)
Ge (0.5000, 0.0000, 0.8474) (multiplicity 2)

---

2.
Structure and theoretical powder X-ray diffraction pattern of Tb5Er3Sc3 (a DFT-relaxed cell (PBE, Alexandria); copper Kα).

Most intense lines, 2θ from 10° to 80°, in order of falling intensity:
2θ = 26.38°, intensity 100; 2θ = 42.91°, intensity 99; 2θ = 28.67°, intensity 91; 2θ = 36.82°, intensity 91; 2θ = 25.22°, intensity 88; 2θ = 33.22°, intensity 79; 2θ = 66.06°, intensity 76; 2θ = 34.62°, intensity 65; 2θ = 31.24°, intensity 57; 2θ = 39.35°, intensity 55; 2θ = 59.36°, intensity 35; 2θ = 16.43°, intensity 33

Cell and atoms:
a = 10.7874 Å, b = 10.7874 Å, c = 3.3787 Å
α = 90.00°, β = 90.00°, γ = 120.00°
Space group P-62m (No. 189)
Asymmetric unit:
Tb (0.0000, 0.1655, 0.0000) (multiplicity 3)
Tb (0.3333, 0.6667, 0.0000) (multiplicity 2)
Er (0.0000, 0.6531, 0.0000) (multiplicity 3)
Sc (0.0000, 0.4084, 0.5000) (multiplicity 3)

---

3.
Structure and theoretical powder X-ray diffraction pattern of Na3Pm2YO6 (a DFT-relaxed cell (PBE, Alexandria); copper Kα).

Most intense lines, 2θ from 10° to 80°, in order of falling intensity:
2θ = 36.41°, intensity 100; 2θ = 15.79°, intensity 97; 2θ = 31.23°, intensity 63; 2θ = 29.81°, intensity 51; 2θ = 52.01°, intensity 34; 2θ = 52.86°, intensity 31; 2θ = 54.70°, intensity 22; 2θ = 31.88°, intensity 21; 2θ = 62.31°, intensity 20; 2θ = 39.90°, intensity 19; 2θ = 48.20°, intensity 19; 2θ = 65.14°, intensity 16

Cell and atoms:
a = 6.0902 Å, b = 10.5528 Å, c = 5.9684 Å
α = 90.00°, β = 109.84°, γ = 90.00°
Space group C2/m (No. 12)
Asymmetric unit:
Na (0.0000, 0.0000, 0.0000) (multiplicity 2)
Na (0.0000, 0.3375, 0.0000) (multiplicity 4)
Pm (0.0000, 0.1668, 0.5000) (multiplicity 4)
Y (0.0000, 0.5000, 0.5000) (multiplicity 2)
O (0.2341, 0.3372, 0.7144) (multiplicity 8)
O (0.2454, 0.0000, 0.7135) (multiplicity 4)